Entry 1:
The following is a simulated powder diffractogram of K3Nb2VO9. It was derived from a GGA+U-relaxed structure, using Cu Kα (weighted mean of Kα1 and Kα2).
Intensities are scaled so that the largest is 100.

abc: 5.6376 5.6376 6.9082
angles: 90.00 90.00 120.00
Space group P-3m1 (No. 164)
Asymmetric unit:
K (0.0000, 0.0000, 0.0000) [1 per cell]
K (0.3333, 0.6667, 0.6661) [2 per cell]
Nb (0.3333, 0.6667, 0.1734) [2 per cell]
V (0.0000, 0.0000, 0.5000) [1 per cell]
O (0.0000, 0.5000, 0.0000) [3 per cell]
O (0.1617, 0.3234, 0.3399) [6 per cell]

Most intense lines, 2θ = 5–70°, by intensity:
hkl	two_theta	I (rel.)
1 1 0	31.74	100
2 0 2	45.50	45
1 0 1	22.30	40
3 0 0	56.54	37
2 2 0	66.31	25
2 1 1	51.23	15
1 0 0	18.17	3
1 1 2	41.34	2
0 0 1	12.81	2
1 1 1	34.36	1
1 0 3	43.45	1
2 0 1	39.14	1

Entry 2:
The following is a simulated powder diffractogram of Na4MoO5. It was derived from a GGA+U-relaxed structure, using Cu Kα (weighted mean of Kα1 and Kα2).
Intensities are scaled so that the largest is 100.

abc: 5.7273 10.1057 10.1446
angles: 113.33 96.51 96.21
Space group P-1 (No. 2)
Asymmetric unit:
Na (0.0000, 0.0000, 0.0000) [1 per cell]
Na (0.0025, 0.3981, 0.5979) [2 per cell]
Na (0.0143, 0.8045, 0.1971) [2 per cell]
Na (0.2195, 0.5493, 0.9338) [2 per cell]
Na (0.2460, 0.9468, 0.5386) [2 per cell]
Na (0.2634, 0.3559, 0.1588) [2 per cell]
Na (0.2825, 0.1544, 0.3595) [2 per cell]
Na (0.4901, 0.8966, 0.0891) [2 per cell]
Na (0.5000, 0.5000, 0.5000) [1 per cell]
Mo (0.2153, 0.7849, 0.7530) [2 per cell]
Mo (0.4813, 0.2994, 0.7372) [2 per cell]
O (0.0608, 0.3556, 0.3495) [2 per cell]
O (0.1155, 0.9582, 0.7734) [2 per cell]
O (0.1368, 0.7722, 0.9305) [2 per cell]
O (0.1930, 0.6016, 0.1892) [2 per cell]
O (0.1991, 0.1893, 0.5968) [2 per cell]
O (0.3341, 0.7301, 0.5750) [2 per cell]
O (0.3769, 0.3213, 0.9076) [2 per cell]
O (0.3971, 0.8827, 0.3178) [2 per cell]
O (0.4061, 0.4663, 0.7111) [2 per cell]
O (0.4582, 0.1515, 0.1492) [2 per cell]

Most intense lines, 2θ = 5–70°, by intensity:
hkl	two_theta	I (rel.)
0 0 2	19.37	100
0 2 2	32.83	97
2 1 1	38.96	72
1 1 -4	37.54	72
1 -4 1	37.73	70
1 -1 1	18.99	41
1 -2 1	22.69	35
0 2 -2	21.00	34
1 0 1	19.91	32
1 0 5	55.30	31
-1 1 1	20.30	28
1 0 -1	17.06	27